TiCuNO4F7: calculated powder XRD pattern (a wavelength of 1.5418 Å), based on the GGA-PBE geometry in Alexandria.
No peak broadening, texture or thermal motion is included.

Cell and atoms:
Lattice parameters (Å, degrees): 6.590 6.590 10.019 90.00 90.00 90.00
Space group P4/n (No. 85, origin choice 2)
Inequivalent atoms, fractional coordinates:
Ti 0.250 0.250 0.125
Cu 0.250 0.250 0.519
N 0.250 0.750 0.000
O 0.009 0.431 0.543
F 0.042 0.746 0.859
F 0.250 0.250 0.318
F 0.250 0.250 0.946
F 0.250 0.750 0.500

Principal peaks in the range 2θ = 10–90°, sorted by position:
5.506 Å, 2θ 16.10, I 73, (1 0 1); 5.010 Å, 2θ 17.70, I 100, (0 0 2); 4.660 Å, 2θ 19.04, I 77, (1 1 0); 3.988 Å, 2θ 22.29, I 56, (1 0 2); 3.340 Å, 2θ 26.69, I 60, (0 0 3); 3.295 Å, 2θ 27.06, I 61, (2 0 0); 2.330 Å, 2θ 38.64, I 31, (2 2 0); 2.269 Å, 2θ 39.72, I 28, (2 2 1); 2.113 Å, 2θ 42.80, I 38, (2 2 2); 2.084 Å, 2θ 43.42, I 31, (1 3 0); 1.917 Å, 2θ 47.42, I 25, (1 0 5); 1.648 Å, 2θ 55.80, I 24, (4 0 0)



Na2Cu3F8: calculated powder XRD pattern (a wavelength of 1.5418 Å), based on the GGA-PBE geometry in Alexandria.
No peak broadening, texture or thermal motion is included.

Cell and atoms:
Lattice parameters (Å, degrees): 5.201 6.307 6.561 116.88 95.26 106.32
Space group P-1 (No. 2)
Inequivalent atoms, fractional coordinates:
Na 0.150 0.440 0.223
Cu 0.000 0.000 0.500
Cu 0.497 0.011 0.769
F 0.102 0.779 0.600
F 0.125 0.776 0.153
F 0.390 0.213 0.642
F 0.428 0.211 0.137

Principal peaks in the range 2θ = 10–90°, sorted by position:
5.242 Å, 2θ 16.91, I 100, (0 1 0); 4.444 Å, 2θ 19.98, I 17, (1 -1 0); 3.281 Å, 2θ 27.18, I 15, (1 0 1); 3.213 Å, 2θ 27.76, I 17, (-1 1 1); 2.768 Å, 2θ 32.34, I 48, (1 0 -2); 2.511 Å, 2θ 35.76, I 19, (1 -2 2); 2.413 Å, 2θ 37.26, I 20, (2 0 0); 2.206 Å, 2θ 40.92, I 31, (-1 1 2); 2.023 Å, 2θ 44.81, I 24, (1 -3 2); 1.941 Å, 2θ 46.81, I 22, (2 1 0); 1.748 Å, 2θ 52.33, I 16, (2 -3 0); 1.583 Å, 2θ 58.27, I 16, (3 0 -2)



Na3CuF8: calculated powder XRD pattern (a wavelength of 1.5418 Å), based on the GGA-PBE geometry in Alexandria.
No peak broadening, texture or thermal motion is included.

Cell and atoms:
Lattice parameters (Å, degrees): 5.301 5.301 5.301 90.00 90.00 90.00
Space group Pm-3m (No. 221)
Inequivalent atoms, fractional coordinates:
Na 0.000 0.000 0.500
Cu 0.500 0.500 0.500
F 0.273 0.273 0.273

Principal peaks in the range 2θ = 10–90°, sorted by position:
5.301 Å, 2θ 16.72, I 50, (1 0 0); 3.748 Å, 2θ 23.74, I 22, (1 1 0); 3.061 Å, 2θ 29.18, I 77, (1 1 1); 2.371 Å, 2θ 37.95, I 3, (2 1 0); 2.164 Å, 2θ 41.74, I 7, (2 1 1); 1.874 Å, 2θ 48.58, I 100, (2 2 0); 1.767 Å, 2θ 51.73, I 9, (2 2 1); 1.598 Å, 2θ 57.68, I 29, (3 1 1); 1.470 Å, 2θ 63.25, I 11, (3 2 0); 1.417 Å, 2θ 65.93, I 5, (3 2 1); 1.325 Å, 2θ 71.14, I 12, (4 0 0); 1.216 Å, 2θ 78.68, I 11, (3 3 1)



Na3Cu4F12: calculated powder XRD pattern (a wavelength of 1.5418 Å), based on the GGA-PBE geometry in Alexandria.
No peak broadening, texture or thermal motion is included.

Cell and atoms:
Lattice parameters (Å, degrees): 7.780 7.780 7.780 90.00 90.00 90.00
Space group Im-3 (No. 204)
Inequivalent atoms, fractional coordinates:
Na 0.000 0.000 0.500
Cu 0.250 0.250 0.250
F 0.000 0.290 0.220

Principal peaks in the range 2θ = 10–90°, sorted by position:
5.502 Å, 2θ 16.11, I 7, (1 1 0); 3.890 Å, 2θ 22.86, I 100, (2 0 0); 2.751 Å, 2θ 32.55, I 82, (2 2 0); 2.460 Å, 2θ 36.52, I 7, (3 1 0); 2.079 Å, 2θ 43.52, I 7, (3 2 1); 1.945 Å, 2θ 46.70, I 52, (4 0 0); 1.740 Å, 2θ 52.61, I 38, (4 0 2); 1.588 Å, 2θ 58.08, I 41, (4 2 2); 1.375 Å, 2θ 68.18, I 24, (4 4 0); 1.297 Å, 2θ 72.96, I 13, (4 4 2); 1.230 Å, 2θ 77.61, I 13, (6 0 2); 1.123 Å, 2θ 86.70, I 6, (4 4 4)



NaCu7F12: calculated powder XRD pattern (a wavelength of 1.5418 Å), based on the GGA-PBE geometry in Alexandria.
No peak broadening, texture or thermal motion is included.

Cell and atoms:
Lattice parameters (Å, degrees): 7.828 7.828 7.828 90.00 90.00 90.00
Space group Im-3 (No. 204)
Inequivalent atoms, fractional coordinates:
Na 0.000 0.000 0.000
Cu 0.000 0.000 0.500
Cu 0.250 0.250 0.250
F 0.000 0.310 0.173

Principal peaks in the range 2θ = 10–90°, sorted by position:
5.535 Å, 2θ 16.01, I 7, (1 1 0); 3.914 Å, 2θ 22.72, I 3, (2 0 0); 3.196 Å, 2θ 27.92, I 7, (2 1 1); 2.768 Å, 2θ 32.35, I 100, (2 2 0); 2.475 Å, 2θ 36.29, I 9, (3 1 0); 2.092 Å, 2θ 43.24, I 5, (3 2 1); 1.957 Å, 2θ 46.40, I 29, (4 0 0); 1.598 Å, 2θ 57.69, I 56, (4 2 2); 1.384 Å, 2θ 67.71, I 13, (4 4 0); 1.342 Å, 2θ 70.09, I 3, (5 0 3); 1.238 Å, 2θ 77.05, I 17, (6 2 0); 1.130 Å, 2θ 86.05, I 4, (4 4 4)



NaCuF4: calculated powder XRD pattern (a wavelength of 1.5418 Å), based on the GGA-PBE geometry in Alexandria.
No peak broadening, texture or thermal motion is included.

Cell and atoms:
Lattice parameters (Å, degrees): 5.536 4.945 5.638 90.00 90.00 90.00
Space group Pnc2 (No. 30)
Inequivalent atoms, fractional coordinates:
Na 0.000 0.000 0.000
Cu 0.500 0.000 0.337
F 0.203 0.158 0.330
F 0.384 0.747 0.584

Principal peaks in the range 2θ = 10–90°, sorted by position:
5.536 Å, 2θ 16.01, I 68, (1 0 0); 3.718 Å, 2θ 23.94, I 89, (0 1 1); 3.086 Å, 2θ 28.93, I 100, (1 1 1); 2.768 Å, 2θ 32.34, I 13, (2 0 0); 2.415 Å, 2θ 37.23, I 13, (2 1 0); 2.240 Å, 2θ 40.27, I 21, (1 1 2); 1.844 Å, 2θ 49.42, I 20, (2 2 0); 1.762 Å, 2θ 51.89, I 39, (1 2 2); 1.757 Å, 2θ 52.06, I 19, (0 1 3); 1.653 Å, 2θ 55.60, I 23, (3 1 1); 1.544 Å, 2θ 59.92, I 26, (3 0 2); 1.521 Å, 2θ 60.90, I 16, (1 3 1)



Na2CuF5: calculated powder XRD pattern (a wavelength of 1.5418 Å), based on the GGA-PBE geometry in Alexandria.
No peak broadening, texture or thermal motion is included.

Cell and atoms:
Lattice parameters (Å, degrees): 3.982 8.593 7.140 90.00 90.00 90.00
Space group Imm2 (No. 44)
Inequivalent atoms, fractional coordinates:
Na 0.000 0.240 0.000
Cu 0.000 0.500 0.319
F 0.000 0.000 0.828
F 0.000 0.276 0.322
F 0.000 0.500 0.059
F 0.000 0.500 0.577

Principal peaks in the range 2θ = 10–90°, sorted by position:
5.492 Å, 2θ 16.14, I 100, (0 1 1); 3.613 Å, 2θ 24.64, I 35, (1 1 0); 3.570 Å, 2θ 24.94, I 10, (0 0 2); 3.478 Å, 2θ 25.61, I 24, (1 0 1); 2.703 Å, 2θ 33.14, I 10, (1 2 1); 2.294 Å, 2θ 39.28, I 11, (0 1 3); 2.148 Å, 2θ 42.06, I 20, (0 4 0); 2.043 Å, 2θ 44.34, I 16, (1 0 3); 1.991 Å, 2θ 45.56, I 16, (2 0 0); 1.872 Å, 2θ 48.64, I 10, (2 1 1); 1.829 Å, 2θ 49.86, I 10, (0 3 3); 1.460 Å, 2θ 63.73, I 9, (2 4 0)



Na2CuF4: calculated powder XRD pattern (a wavelength of 1.5418 Å), based on the GGA-PBE geometry in Alexandria.
No peak broadening, texture or thermal motion is included.

Cell and atoms:
Lattice parameters (Å, degrees): 3.350 9.380 5.695 90.00 93.12 90.00
Space group P2_1/c (No. 14)
Inequivalent atoms, fractional coordinates:
Na 0.019 0.182 0.416
Cu 0.500 0.000 0.000
F 0.082 0.050 0.763
F 0.488 0.691 0.376

Principal peaks in the range 2θ = 10–90°, sorted by position:
4.863 Å, 2θ 18.24, I 100, (0 1 1); 4.690 Å, 2θ 18.92, I 17, (0 2 0); 2.818 Å, 2θ 31.75, I 75, (1 1 -1); 2.740 Å, 2θ 32.69, I 41, (0 3 1); 2.698 Å, 2θ 33.21, I 30, (1 1 1); 2.167 Å, 2θ 41.67, I 35, (0 4 1); 2.059 Å, 2θ 43.98, I 14, (1 1 2); 2.012 Å, 2θ 45.06, I 25, (1 2 -2); 1.925 Å, 2θ 47.23, I 24, (1 2 2); 1.673 Å, 2θ 54.89, I 17, (2 0 0); 1.584 Å, 2θ 58.26, I 15, (1 5 -1); 1.562 Å, 2θ 59.15, I 21, (1 5 1)



NaNbCu2F8: calculated powder XRD pattern (a wavelength of 1.5418 Å), based on the GGA-PBE geometry in Alexandria.
No peak broadening, texture or thermal motion is included.

Cell and atoms:
Lattice parameters (Å, degrees): 4.7937 4.7937 25.4477 90.00 90.00 120.00
Space group R32 (No. 155, hexagonal axes)
Inequivalent atoms, fractional coordinates:
Na 0.0000 0.0000 0.0000
Nb 0.0000 0.0000 0.5000
Cu 0.0000 0.0000 0.2732
F 0.0000 0.0000 0.3462
F 0.0084 0.3593 0.1178

Principal peaks in the range 2θ = 10–90°, sorted by position:
8.483 Å, 2θ 10.43, I 14, (0 0 3); 4.097 Å, 2θ 21.69, I 51, (1 0 1); 3.477 Å, 2θ 25.62, I 100, (1 0 4); 3.217 Å, 2θ 27.73, I 47, (0 1 5); 2.525 Å, 2θ 35.55, I 27, (0 1 8); 2.397 Å, 2θ 37.52, I 53, (1 1 0); 1.973 Å, 2θ 45.99, I 16, (0 2 4); 1.922 Å, 2θ 47.29, I 13, (2 0 5); 1.828 Å, 2θ 49.88, I 40, (1 1 9); 1.771 Å, 2θ 51.62, I 16, (1 0 13); 1.523 Å, 2θ 60.80, I 16, (2 1 4); 1.384 Å, 2θ 67.71, I 19, (3 0 0)



NaNdCu2F8: calculated powder XRD pattern (a wavelength of 1.5418 Å), based on the GGA-PBE geometry in Alexandria.
No peak broadening, texture or thermal motion is included.

Cell and atoms:
Lattice parameters (Å, degrees): 5.567 5.567 10.638 90.00 90.00 90.00
Space group I-4 (No. 82)
Inequivalent atoms, fractional coordinates:
Na 0.000 0.000 0.000
Nd 0.000 0.500 0.250
Cu 0.000 0.000 0.500
Cu 0.000 0.500 0.750
F 0.138 0.293 0.438
F 0.153 0.789 0.806

Principal peaks in the range 2θ = 10–90°, sorted by position:
5.319 Å, 2θ 16.67, I 16, (0 0 2); 4.932 Å, 2θ 17.98, I 29, (1 0 1); 3.936 Å, 2θ 22.59, I 15, (1 1 0); 3.164 Å, 2θ 28.20, I 100, (1 1 2); 2.783 Å, 2θ 32.16, I 20, (2 0 0); 2.659 Å, 2θ 33.70, I 20, (0 0 4); 2.424 Å, 2θ 37.09, I 16, (2 1 1); 1.968 Å, 2θ 46.12, I 18, (2 2 0); 1.923 Å, 2θ 47.27, I 25, (2 0 4); 1.671 Å, 2θ 54.94, I 42, (1 3 2); 1.617 Å, 2θ 56.96, I 19, (1 1 6); 1.582 Å, 2θ 58.33, I 14, (2 2 4)



NaCuSO4F: calculated powder XRD pattern (a wavelength of 1.5418 Å), based on the GGA-PBE geometry in Alexandria.
No peak broadening, texture or thermal motion is included.

Cell and atoms:
Lattice parameters (Å, degrees): 6.959 8.651 6.893 90.00 107.16 90.00
Space group C2/c (No. 15)
Inequivalent atoms, fractional coordinates:
Na 0.000 0.143 0.250
Cu 0.000 0.500 0.000
S 0.000 0.205 0.750
O 0.118 0.309 0.649
O 0.139 0.108 0.904
F 0.000 0.401 0.250

Principal peaks in the range 2θ = 10–90°, sorted by position:
5.272 Å, 2θ 16.82, I 78, (1 1 0); 4.685 Å, 2θ 18.94, I 23, (1 1 -1); 3.325 Å, 2θ 26.81, I 100, (2 0 0); 3.143 Å, 2θ 28.40, I 76, (1 1 -2); 2.646 Å, 2θ 33.88, I 49, (1 3 0); 2.620 Å, 2θ 34.22, I 56, (0 2 2); 2.361 Å, 2θ 38.12, I 20, (1 3 1); 2.342 Å, 2θ 38.43, I 16, (2 2 -2); 2.093 Å, 2θ 43.23, I 29, (3 1 -2); 1.857 Å, 2θ 49.06, I 26, (2 2 2); 1.757 Å, 2θ 52.04, I 18, (3 3 0); 1.709 Å, 2θ 53.64, I 18, (2 4 -2)



NaCuPdF6: calculated powder XRD pattern (a wavelength of 1.5418 Å), based on the GGA-PBE geometry in Alexandria.
No peak broadening, texture or thermal motion is included.

Cell and atoms:
Lattice parameters (Å, degrees): 4.925 4.925 9.744 90.00 90.00 90.00
Space group P4_2nm (No. 102)
Inequivalent atoms, fractional coordinates:
Na 0.000 0.000 0.000
Cu 0.000 0.000 0.328
Pd 0.000 0.000 0.668
F 0.178 0.178 0.501
F 0.206 0.206 0.183
F 0.206 0.206 0.816

Principal peaks in the range 2θ = 10–90°, sorted by position:
4.872 Å, 2θ 18.21, I 20, (0 0 2); 4.396 Å, 2θ 20.20, I 46, (1 0 1); 3.483 Å, 2θ 25.58, I 100, (1 1 0); 2.833 Å, 2θ 31.58, I 14, (1 1 2); 2.711 Å, 2θ 33.04, I 58, (1 0 3); 2.463 Å, 2θ 36.48, I 10, (2 0 0); 2.375 Å, 2θ 37.88, I 15, (1 1 3); 1.823 Å, 2θ 50.03, I 68, (2 1 3); 1.741 Å, 2θ 52.55, I 20, (2 2 0); 1.558 Å, 2θ 59.33, I 12, (3 1 0); 1.472 Å, 2θ 63.17, I 14, (1 1 6); 1.465 Å, 2θ 63.49, I 24, (3 0 3)